Theoretical powder diffraction line list
Compound: Ce3PbAu5
Radiation: a wavelength of 1.5418 Å
Structure: DFT lattice parameters and positions (PBE)

Largest 10 diffraction maxima, in order of rising 2θ, 10 to 80 degrees two-theta:
hkl 1 1 1, 24.4°, intensity 4; hkl 0 0 2, 28.1°, intensity 4; hkl 1 1 2, 34.7°, intensity 97; hkl 3 0 0, 34.9°, intensity 100; hkl 3 0 2, 45.4°, intensity 6; hkl 2 2 2, 50.0°, intensity 34; hkl 0 0 4, 58.2°, intensity 8; hkl 3 3 0, 62.5°, intensity 53; hkl 3 0 4, 69.7°, intensity 27; hkl 6 0 0, 73.7°, intensity 11

Structural model:
abc: 8.9099 8.9099 6.3411
angles: 90.00 90.00 120.00
Space group P6_3/mcm (No. 193)
Symmetry-distinct sites (fractional):
Ce1 0.0000 0.3497 0.2500
Pb1 0.0000 0.0000 0.0000
Au1 0.0000 0.3221 0.7500
Au2 0.3333 0.6667 0.0000

=====

Theoretical powder diffraction line list
Compound: AcTm7Tl4
Radiation: a wavelength of 1.5418 Å
Structure: DFT lattice parameters and positions (PBE)

Largest 10 diffraction maxima, in order of rising 2θ, 10 to 80 degrees two-theta:
hkl 4 0 -3, 28.7°, intensity 54; hkl 1 1 2, 29.7°, intensity 63; hkl 3 1 -3, 30.5°, intensity 30; hkl 0 2 0, 30.7°, intensity 100; hkl 3 1 1, 33.1°, intensity 46; hkl 2 0 -4, 35.5°, intensity 21; hkl 5 1 -1, 36.2°, intensity 57; hkl 5 1 -3, 36.3°, intensity 26; hkl 4 2 -3, 42.5°, intensity 38; hkl 5 3 -1, 58.2°, intensity 21

Structural model:
abc: 14.439 5.831 10.376
angles: 90.00 123.49 90.00
Space group C2/m (No. 12)
Symmetry-distinct sites (fractional):
Ac1 0.000 0.000 0.000
Tm1 0.000 0.500 0.000
Tm2 0.062 0.000 0.398
Tm3 0.213 0.000 0.877
Tm4 0.218 0.500 0.651
Tl1 0.064 0.500 0.758
Tl2 0.189 0.500 0.332

=====

Theoretical powder diffraction line list
Compound: Pr5ErTm
Radiation: a wavelength of 1.5418 Å
Structure: DFT lattice parameters and positions (PBE)

Largest 10 diffraction maxima, in order of rising 2θ, 10 to 80 degrees two-theta:
hkl 0 0 2, 14.4°, intensity 100; hkl 1 1 0, 17.9°, intensity 66; hkl 0 2 0, 20.0°, intensity 74; hkl 1 2 1, 26.0°, intensity 43; hkl 0 0 4, 29.1°, intensity 92; hkl 2 0 0, 30.0°, intensity 85; hkl 1 3 0, 33.8°, intensity 65; hkl 0 2 4, 35.6°, intensity 35; hkl 2 0 4, 42.3°, intensity 67; hkl 1 3 4, 45.2°, intensity 58

Structural model:
abc: 5.948 8.898 12.266
angles: 90.00 90.00 90.00
Space group Immm (No. 71)
Symmetry-distinct sites (fractional):
Pr1 0.000 0.000 0.000
Pr2 0.000 0.176 0.500
Pr3 0.000 0.500 0.252
Er1 0.000 0.500 0.500
Tm1 0.000 0.500 0.000

=====

Theoretical powder diffraction line list
Compound: LaPm5Tm3
Radiation: a wavelength of 1.5418 Å
Structure: DFT lattice parameters and positions (PBE)

Largest 10 diffraction maxima, in order of rising 2θ, 10 to 80 degrees two-theta:
hkl 3 1 -3, 27.9°, intensity 31; hkl 2 2 0, 29.6°, intensity 25; hkl 6 0 0, 31.4°, intensity 64; hkl 5 1 -3, 31.6°, intensity 100; hkl 2 2 1, 32.0°, intensity 37; hkl 4 2 -1, 33.7°, intensity 27; hkl 0 0 4, 34.7°, intensity 18; hkl 4 2 0, 34.8°, intensity 16; hkl 3 1 3, 38.2°, intensity 17; hkl 11 1 -3, 56.1°, intensity 20

Structural model:
abc: 18.688 6.463 11.314
angles: 90.00 113.85 90.00
Space group C2/c (No. 15)
Symmetry-distinct sites (fractional):
La1 0.000 0.143 0.250
Pm1 0.000 0.394 0.750
Pm2 0.168 0.297 0.207
Pm3 0.169 0.176 0.865
Tm1 0.000 0.000 0.000
Tm2 0.162 0.299 0.514

=====

Theoretical powder diffraction line list
Compound: Ca2NiH4
Radiation: a wavelength of 1.5418 Å
Structure: DFT lattice parameters and positions (PBE)

Largest 10 diffraction maxima, in order of rising 2θ, 10 to 80 degrees two-theta:
hkl 1 0 -1, 19.6°, intensity 52; hkl 0 1 1, 22.0°, intensity 78; hkl 1 0 1, 23.8°, intensity 39; hkl 0 1 2, 31.3°, intensity 31; hkl 1 1 -2, 33.5°, intensity 100; hkl 2 0 0, 35.8°, intensity 50; hkl 0 2 0, 36.4°, intensity 60; hkl 1 1 2, 38.7°, intensity 85; hkl 2 1 -2, 43.9°, intensity 47; hkl 2 2 0, 51.9°, intensity 33

Structural model:
abc: 5.124 4.937 7.153
angles: 90.00 101.55 90.00
Space group P2_1/m (No. 11)
Symmetry-distinct sites (fractional):
Ca1 0.246 0.250 0.037
Ca2 0.247 0.250 0.552
Ni1 0.196 0.750 0.772
H1 0.009 0.002 0.268
H2 0.298 0.750 0.000
H3 0.418 0.750 0.643

=====

Theoretical powder diffraction line list
Compound: Pr3Sm3Dy4
Radiation: a wavelength of 1.5418 Å
Structure: DFT lattice parameters and positions (PBE)

Largest 10 diffraction maxima, in order of rising 2θ, 10 to 80 degrees two-theta:
hkl 0 4 0, 26.2°, intensity 14; hkl 0 4 2, 29.4°, intensity 63; hkl 1 2 2, 30.4°, intensity 31; hkl 1 1 3, 31.9°, intensity 100; hkl 0 1 5, 33.6°, intensity 16; hkl 1 5 3, 46.0°, intensity 11; hkl 2 0 0, 49.1°, intensity 11; hkl 1 4 6, 54.6°, intensity 20; hkl 1 3 7, 57.2°, intensity 15; hkl 2 4 2, 58.3°, intensity 21

Structural model:
abc: 3.709 13.588 13.617
angles: 90.00 90.00 90.00
Space group Amm2 (No. 38)
Symmetry-distinct sites (fractional):
Pr1 0.000 0.000 0.000
Pr2 0.000 0.175 0.674
Sm1 0.000 0.000 0.349
Sm2 0.500 0.248 0.423
Dy1 0.500 0.000 0.549
Dy2 0.500 0.000 0.798
Dy3 0.500 0.123 0.176

=====

Theoretical powder diffraction line list
Compound: ErNpSeN2
Radiation: a wavelength of 1.5418 Å
Structure: DFT lattice parameters and positions (PBE)

Largest 10 diffraction maxima, in order of rising 2θ, 10 to 80 degrees two-theta:
hkl 0 0 2, 14.7°, intensity 12; hkl 1 0 1, 24.5°, intensity 19; hkl 1 0 3, 32.4°, intensity 100; hkl 1 1 0, 33.3°, intensity 42; hkl 0 0 6, 45.0°, intensity 9; hkl 2 0 0, 47.8°, intensity 19; hkl 1 1 6, 57.1°, intensity 21; hkl 2 1 3, 58.9°, intensity 37; hkl 2 0 6, 67.8°, intensity 11; hkl 3 0 3, 79.2°, intensity 9

Structural model:
abc: 3.804 3.804 12.084
angles: 90.00 90.00 90.00
Space group I4mm (No. 107)
Symmetry-distinct sites (fractional):
Er1 0.000 0.000 0.000
Np1 0.000 0.000 0.317
Se1 0.000 0.000 0.656
N1 0.000 0.500 0.399

=====

Theoretical powder diffraction line list
Compound: TbPm2Pr3Er6
Radiation: a wavelength of 1.5418 Å
Structure: DFT lattice parameters and positions (PBE)

Largest 10 diffraction maxima, in order of rising 2θ, 10 to 80 degrees two-theta:
hkl 1 3 1, 30.5°, intensity 100; hkl 0 0 4, 30.9°, intensity 32; hkl 2 0 2, 35.5°, intensity 67; hkl 0 6 0, 50.8°, intensity 24; hkl 1 3 5, 51.3°, intensity 24; hkl 4 0 0, 60.4°, intensity 14; hkl 3 3 3, 60.6°, intensity 28; hkl 2 0 6, 61.0°, intensity 14; hkl 2 6 2, 63.5°, intensity 12; hkl 4 0 4, 75.0°, intensity 8

Structural model:
abc: 6.229 10.788 11.774
angles: 90.00 100.12 90.00
Space group C2/m (No. 12)
Symmetry-distinct sites (fractional):
Tb1 0.000 0.000 0.000
Pm1 0.000 0.334 0.000
Pr1 0.000 0.167 0.500
Pr2 0.000 0.500 0.500
Er1 0.249 0.167 0.248
Er2 0.250 0.000 0.752